Computed powder XRD pattern of Re2Ru3 for Cu Kα (λ = 1.5418 Å), from a crystal structure in Alexandria, relaxed with GGA-PBE.
Peak positions follow from Bragg's law for the DFT cell and can differ from measured ones.

Structure:
Unit cell a=11.261 b=11.261 c=11.261 alpha=13.93 beta=13.93 gamma=13.93
Fractional coordinates of all 5 atoms:
Re: 0.099 0.099 0.099
Re: 0.901 0.901 0.901
Ru: 0.299 0.299 0.299
Ru: 0.500 0.500 0.500
Ru: 0.701 0.701 0.701

The 10 most intense peaks (2θ from 10° to 90°), in order of rising 2θ:
d (Å)  Position (°2θ)  I (rel.)
5.575  15.90  11
3.717  23.94  2
2.359  38.15  3
2.276  39.60  3
2.230  40.45  100
1.931  47.06  49
1.867  48.78  2
1.366  68.74  31
1.165  82.91  37
1.115  87.49  11